Entry 1:
This entry pairs a crystal structure of AlMoW2O8 with its theoretical X-ray powder pattern. Radiation: Cu Kα (λ = 1.5418 Å). Structure: a DFT-relaxed cell (GGA+U, the Materials Project).

The 10 most intense peaks (10° ≤ 2θ ≤ 90°), most intense first:
23.92 deg, I = 100
16.27 deg, I = 83
29.76 deg, I = 68
17.18 deg, I = 67
30.50 deg, I = 63
34.16 deg, I = 44
41.20 deg, I = 39
33.08 deg, I = 32
43.58 deg, I = 30
34.77 deg, I = 28

Structure:
```
AlMoW2O8
1.0
5.179 0.000 0.000
1.563 5.333 0.000
0.564 1.423 5.448
Al Mo W O
1 1 2 8
Direct
0.000 0.000 0.000
0.592 0.941 0.576
0.305 0.469 0.743
0.879 0.427 0.387
0.230 0.205 0.995
0.251 0.257 0.499
0.312 0.780 0.852
0.497 0.642 0.444
0.746 0.193 0.745
0.823 0.135 0.269
0.896 0.697 0.118
0.945 0.639 0.621
```

=====

Entry 2:
This entry pairs a crystal structure of AlMoW2O8 with its theoretical X-ray powder pattern. Radiation: Cu Kα (λ = 1.5418 Å). Structure: a DFT-relaxed cell (GGA+U, the Materials Project).

The 10 most intense peaks (10° ≤ 2θ ≤ 90°), most intense first:
29.91 deg, I = 100
30.56 deg, I = 94
24.81 deg, I = 85
36.01 deg, I = 57
19.17 deg, I = 51
52.14 deg, I = 51
23.16 deg, I = 51
53.67 deg, I = 49
34.43 deg, I = 39
54.45 deg, I = 30

Structure:
```
AlMoW2O8
1.0
5.212 0.000 0.000
0.000 5.682 0.000
-4.943 0.000 9.259
Al Mo W O
2 2 4 16
Direct
0.000 0.161 0.250
0.000 0.839 0.750
0.500 0.139 0.750
0.500 0.861 0.250
0.253 0.341 0.001
0.253 0.659 0.501
0.747 0.341 0.499
0.747 0.659 0.999
0.192 0.391 0.610
0.192 0.609 0.110
0.198 0.133 0.140
0.198 0.867 0.640
0.254 0.115 0.868
0.254 0.885 0.368
0.306 0.376 0.385
0.306 0.624 0.885
0.694 0.376 0.115
0.694 0.624 0.615
0.746 0.115 0.632
0.746 0.885 0.132
0.802 0.133 0.360
0.802 0.867 0.860
0.808 0.391 0.890
0.808 0.609 0.390
```

=====

Entry 3:
This entry pairs a crystal structure of Al4Ni3O12 with its theoretical X-ray powder pattern. Radiation: Cu Kα (λ = 1.5418 Å). Structure: a DFT-relaxed cell (GGA+U, the Materials Project).

The 10 most intense peaks (10° ≤ 2θ ≤ 90°), most intense first:
19.07 deg, I = 100
36.74 deg, I = 62
44.55 deg, I = 42
65.84 deg, I = 35
37.49 deg, I = 32
59.06 deg, I = 21
31.09 deg, I = 21
45.85 deg, I = 20
22.46 deg, I = 19
64.83 deg, I = 17

Structure:
```
Al4Ni3O12
1.0
4.893 -2.875 0.000
4.893 2.875 0.000
-0.361 0.000 13.969
Al Ni O
8 6 24
Direct
0.005 0.005 0.370
0.159 0.159 0.846
0.334 0.334 0.055
0.340 0.340 0.665
0.660 0.660 0.335
0.666 0.666 0.945
0.841 0.841 0.154
0.995 0.995 0.630
0.000 0.500 0.500
0.173 0.659 0.838
0.341 0.827 0.162
0.500 0.000 0.500
0.659 0.173 0.838
0.827 0.341 0.162
0.002 0.002 0.760
0.065 0.455 0.762
0.153 0.649 0.593
0.161 0.676 0.091
0.162 0.162 0.095
0.169 0.169 0.591
0.315 0.315 0.436
0.324 0.839 0.909
0.326 0.326 0.924
0.351 0.847 0.407
0.455 0.065 0.762
0.485 0.485 0.762
0.515 0.515 0.238
0.545 0.935 0.238
0.649 0.153 0.593
0.674 0.674 0.076
0.676 0.161 0.091
0.685 0.685 0.564
0.831 0.831 0.409
0.838 0.838 0.905
0.839 0.324 0.909
0.847 0.351 0.407
0.935 0.545 0.238
0.998 0.998 0.240
```

=====

Entry 4:
This entry pairs a crystal structure of Al2Ni2O7 with its theoretical X-ray powder pattern. Radiation: Cu Kα (λ = 1.5418 Å). Structure: a DFT-relaxed cell (GGA+U, the Materials Project).

The 10 most intense peaks (10° ≤ 2θ ≤ 90°), most intense first:
33.88 deg, I = 100
56.82 deg, I = 66
67.82 deg, I = 36
32.39 deg, I = 29
16.75 deg, I = 25
39.32 deg, I = 9
84.57 deg, I = 8
51.83 deg, I = 7
80.48 deg, I = 6
59.68 deg, I = 4

Structure:
```
Al2Ni2O7
1.0
0.000 4.583 4.583
4.583 0.000 4.583
4.583 4.583 0.000
Al Ni O
4 4 14
Direct
0.000 0.000 0.000
0.000 0.000 0.500
0.000 0.500 0.000
0.500 0.000 0.000
0.000 0.500 0.500
0.500 0.000 0.500
0.500 0.500 0.000
0.500 0.500 0.500
0.125 0.125 0.125
0.155 0.155 0.595
0.155 0.595 0.155
0.155 0.595 0.595
0.405 0.405 0.845
0.405 0.845 0.405
0.405 0.845 0.845
0.595 0.155 0.155
0.595 0.155 0.595
0.595 0.595 0.155
0.845 0.405 0.405
0.845 0.405 0.845
0.845 0.845 0.405
0.875 0.875 0.875
```

=====

Entry 5:
This entry pairs a crystal structure of Al4Ni3O12 with its theoretical X-ray powder pattern. Radiation: Cu Kα (λ = 1.5418 Å). Structure: a DFT-relaxed cell (GGA+U, the Materials Project).

The 10 most intense peaks (10° ≤ 2θ ≤ 90°), most intense first:
19.05 deg, I = 100
36.17 deg, I = 31
37.57 deg, I = 29
37.06 deg, I = 28
43.62 deg, I = 19
30.98 deg, I = 19
45.99 deg, I = 19
45.13 deg, I = 17
22.53 deg, I = 17
64.57 deg, I = 15

Structure:
```
Al4Ni3O12
1.0
5.629 0.000 0.000
2.761 5.015 0.000
0.195 0.539 13.987
Al Ni O
8 6 24
Direct
0.017 0.002 0.132
0.149 0.157 0.651
0.328 0.336 0.833
0.354 0.326 0.445
0.646 0.674 0.555
0.672 0.664 0.167
0.851 0.843 0.349
0.983 0.998 0.868
0.000 0.500 0.000
0.164 0.656 0.661
0.350 0.831 0.340
0.500 0.000 0.000
0.650 0.169 0.660
0.836 0.344 0.339
0.028 0.982 0.263
0.058 0.447 0.734
0.144 0.648 0.901
0.160 0.167 0.907
0.175 0.671 0.413
0.178 0.160 0.404
0.309 0.842 0.592
0.323 0.313 0.063
0.342 0.306 0.576
0.360 0.844 0.094
0.451 0.059 0.737
0.484 0.471 0.734
0.516 0.529 0.266
0.549 0.941 0.263
0.640 0.156 0.906
0.658 0.694 0.424
0.677 0.687 0.937
0.691 0.158 0.408
0.822 0.840 0.596
0.825 0.329 0.587
0.840 0.833 0.093
0.856 0.352 0.099
0.942 0.553 0.266
0.972 0.018 0.737
```

=====

Entry 6:
This entry pairs a crystal structure of Al4Si2Ni13Sb2O28 with its theoretical X-ray powder pattern. Radiation: Cu Kα (λ = 1.5418 Å). Structure: a DFT-relaxed cell (GGA+U, the Materials Project).

The 10 most intense peaks (10° ≤ 2θ ≤ 90°), most intense first:
31.06 deg, I = 100
35.02 deg, I = 91
32.39 deg, I = 73
36.88 deg, I = 55
58.39 deg, I = 53
47.75 deg, I = 42
33.21 deg, I = 42
36.10 deg, I = 37
60.39 deg, I = 34
57.02 deg, I = 29

Structure:
```
Al4Si2Ni13Sb2O28
1.0
2.719 -11.305 0.000
2.719 11.305 0.000
-1.635 0.000 8.638
Al Si Ni Sb O
4 2 13 2 28
Direct
0.010 0.439 0.172
0.439 0.010 0.172
0.561 0.990 0.828
0.990 0.561 0.828
0.263 0.263 0.810
0.737 0.737 0.190
0.072 0.928 0.500
0.140 0.428 0.859
0.154 0.293 0.148
0.213 0.787 0.500
0.293 0.154 0.148
0.428 0.140 0.859
0.500 0.500 0.500
0.572 0.860 0.141
0.707 0.846 0.852
0.787 0.213 0.500
0.846 0.707 0.852
0.860 0.572 0.141
0.928 0.072 0.500
0.360 0.640 0.500
0.640 0.360 0.500
0.077 0.364 0.622
0.092 0.212 0.883
0.093 0.513 0.382
0.118 0.673 0.135
0.185 0.483 0.100
0.190 0.190 0.620
0.212 0.092 0.883
0.226 0.375 0.381
0.327 0.882 0.865
0.364 0.077 0.622
0.375 0.226 0.381
0.434 0.434 0.145
0.483 0.185 0.100
0.487 0.907 0.618
0.513 0.093 0.382
0.517 0.815 0.900
0.566 0.566 0.855
0.625 0.774 0.619
0.636 0.923 0.378
0.673 0.118 0.135
0.774 0.625 0.619
0.788 0.908 0.117
0.810 0.810 0.380
0.815 0.517 0.900
0.882 0.327 0.865
0.907 0.487 0.618
0.908 0.788 0.117
0.923 0.636 0.378
```

=====

Entry 7:
This entry pairs a crystal structure of Sr2YAlNi2O7 with its theoretical X-ray powder pattern. Radiation: Cu Kα (λ = 1.5418 Å). Structure: a DFT-relaxed cell (GGA+U, the Materials Project).

The 10 most intense peaks (10° ≤ 2θ ≤ 90°), most intense first:
33.38 deg, I = 100
45.96 deg, I = 38
32.42 deg, I = 31
31.67 deg, I = 30
40.00 deg, I = 21
58.45 deg, I = 21
57.51 deg, I = 20
16.14 deg, I = 9
70.11 deg, I = 9
49.83 deg, I = 8

Structure:
```
Sr2YAlNi2O7
1.0
-10.980 2.825 2.761
10.980 -2.825 2.761
10.980 2.825 -2.761
Sr Y Al Ni O
4 2 2 4 14
Direct
0.019 0.150 0.169
0.019 0.350 0.369
0.981 0.650 0.631
0.981 0.850 0.831
0.000 0.000 0.000
0.000 0.500 0.500
0.393 0.722 0.171
0.551 0.222 0.829
0.502 0.588 0.083
0.502 0.919 0.415
0.504 0.088 0.585
0.504 0.419 0.917
0.004 0.181 0.696
0.004 0.331 0.811
0.004 0.693 0.173
0.004 0.808 0.324
0.312 0.905 0.907
0.474 0.206 0.625
0.474 0.349 0.768
0.485 0.308 0.304
0.485 0.681 0.676
0.520 0.193 0.189
0.520 0.831 0.827
0.581 0.706 0.232
0.581 0.849 0.375
0.999 0.405 0.093
```